# 1
Diffraction record for IrOF2. The PXRD pattern is calculated, not measured: it uses a cell relaxed with GGA-PBE and λ = 1.5418 Å (Cu Kα).
No peak broadening, texture or thermal motion is included.

Most intense lines, 2θ from 10° to 90°, low angle first:
d (Å), two_theta, intensity
7.169, 12.35, 61
3.140, 28.42, 100
2.502, 35.90, 51
2.480, 36.22, 17
2.460, 36.52, 15
2.390, 37.64, 14
1.747, 52.38, 14
1.721, 53.23, 13
1.595, 57.82, 16
1.531, 60.46, 14
1.522, 60.88, 13
1.410, 66.28, 13

Structure:
a b c (Å): 4.9204 7.1693 4.9602
angles (deg): 90.00 90.00 90.00
Fractional positions:
Ir1 0.0099 0.1642 0.0000
Ir2 0.4901 0.1642 0.5000
Ir3 0.5099 0.8358 0.0000
Ir4 0.9901 0.8358 0.5000
O1 0.1493 0.0717 0.3499
O2 0.3507 0.0717 0.8499
O3 0.6493 0.9283 0.3499
O4 0.8507 0.9283 0.8499
F1 0.1454 0.3989 0.1113
F2 0.1558 0.7354 0.1574
F3 0.3442 0.7354 0.6574
F4 0.3546 0.3989 0.6113
F5 0.6454 0.6011 0.1113
F6 0.6558 0.2646 0.1574
F7 0.8442 0.2646 0.6574
F8 0.8546 0.6011 0.6113

***

# 2
Diffraction record for NaLi6NbO6. The PXRD pattern is calculated, not measured: it uses a cell relaxed with GGA-PBE and λ = 1.5418 Å (Cu Kα).
No peak broadening, texture or thermal motion is included.

Most intense lines, 2θ from 10° to 90°, low angle first:
d (Å), two_theta, intensity
5.033, 17.62, 100
4.081, 21.78, 67
3.197, 27.91, 50
3.170, 28.15, 48
2.517, 35.68, 12
2.356, 38.19, 18
2.142, 42.19, 77
2.041, 44.39, 17
1.891, 48.12, 16
1.678, 54.71, 24
1.488, 62.39, 21
1.360, 69.04, 13

Structure:
a b c (Å): 5.2838 5.2838 5.2838
angles (deg): 101.14 101.14 101.14
Fractional positions:
Na1 0.0000 0.0000 0.0000
Li1 0.1556 0.5000 0.8444
Li2 0.1556 0.8444 0.5000
Li3 0.5000 0.1556 0.8444
Li4 0.5000 0.8444 0.1556
Li5 0.8444 0.1556 0.5000
Li6 0.8444 0.5000 0.1556
Nb1 0.5000 0.5000 0.5000
O1 0.2245 0.2245 0.5845
O2 0.2245 0.5845 0.2245
O3 0.4155 0.7755 0.7755
O4 0.5845 0.2245 0.2245
O5 0.7755 0.4155 0.7755
O6 0.7755 0.7755 0.4155

***

# 3
Diffraction record for CsAg2AsS3. The PXRD pattern is calculated, not measured: it uses a cell relaxed with GGA-PBE and λ = 1.5418 Å (Cu Kα).
No peak broadening, texture or thermal motion is included.

Most intense lines, 2θ from 10° to 90°, low angle first:
d (Å), two_theta, intensity
4.277, 20.77, 36
3.759, 23.67, 22
3.688, 24.13, 40
3.603, 24.71, 59
3.475, 25.64, 50
3.146, 28.37, 47
3.106, 28.74, 100
2.843, 31.47, 66
2.465, 36.45, 40
2.451, 36.66, 47
2.140, 42.23, 22
1.987, 45.65, 21

Structure:
a b c (Å): 10.1664 8.5331 9.5272
angles (deg): 90.00 108.01 90.00
Fractional positions:
Cs1 0.0847 0.0661 0.2544
Cs2 0.0847 0.4339 0.7544
Cs3 0.9153 0.5661 0.2456
Cs4 0.9153 0.9339 0.7456
Ag1 0.3272 0.5276 0.2168
Ag2 0.3272 0.9724 0.7168
Ag3 0.4419 0.2399 0.5654
Ag4 0.4419 0.2601 0.0654
Ag5 0.5581 0.7399 0.9346
Ag6 0.5581 0.7601 0.4346
Ag7 0.6728 0.0276 0.2832
Ag8 0.6728 0.4724 0.7832
As1 0.3479 0.6392 0.5569
As2 0.3479 0.8608 0.0569
As3 0.6521 0.1392 0.9431
As4 0.6521 0.3608 0.4431
S1 0.1602 0.7230 0.0618
S2 0.1602 0.7770 0.5618
S3 0.2512 0.0877 0.9319
S4 0.2512 0.4123 0.4319
S5 0.4320 0.5213 0.7893
S6 0.4320 0.9787 0.2893
S7 0.5680 0.0213 0.7107
S8 0.5680 0.4787 0.2107
S9 0.7488 0.5877 0.5681
S10 0.7488 0.9123 0.0681
S11 0.8398 0.2230 0.4382
S12 0.8398 0.2770 0.9382

***

# 4
Diffraction record for Cd2TeO. The PXRD pattern is calculated, not measured: it uses a cell relaxed with GGA-PBE and λ = 1.5418 Å (Cu Kα).
No peak broadening, texture or thermal motion is included.

Most intense lines, 2θ from 10° to 90°, low angle first:
d (Å), two_theta, intensity
3.238, 27.55, 32
3.100, 28.80, 17
3.040, 29.38, 100
2.943, 30.37, 25
2.473, 36.32, 31
2.386, 37.69, 10
2.354, 38.24, 11
2.216, 40.72, 44
1.991, 45.56, 20
1.904, 47.77, 12
1.877, 48.50, 10
1.331, 70.80, 11

Structure:
a b c (Å): 7.3362 7.3362 6.4763
angles (deg): 90.00 90.00 148.51
Fractional positions:
Cd1 0.0441 0.9559 0.5000
Cd2 0.3325 0.6675 0.6217
Cd3 0.6675 0.3325 0.1217
Cd4 0.9559 0.0441 0.0000
Te1 0.3311 0.6689 0.1737
Te2 0.6689 0.3311 0.6737
O1 0.0865 0.9135 0.1754
O2 0.9135 0.0865 0.6754

***

Please write out number 1 again, unchanged.
Diffraction record for IrOF2. The PXRD pattern is calculated, not measured: it uses a cell relaxed with GGA-PBE and λ = 1.5418 Å (Cu Kα).
No peak broadening, texture or thermal motion is included.

Most intense lines, 2θ from 10° to 90°, low angle first:
d (Å), two_theta, intensity
7.169, 12.35, 61
3.140, 28.42, 100
2.502, 35.90, 51
2.480, 36.22, 17
2.460, 36.52, 15
2.390, 37.64, 14
1.747, 52.38, 14
1.721, 53.23, 13
1.595, 57.82, 16
1.531, 60.46, 14
1.522, 60.88, 13
1.410, 66.28, 13

Structure:
a b c (Å): 4.9204 7.1693 4.9602
angles (deg): 90.00 90.00 90.00
Fractional positions:
Ir1 0.0099 0.1642 0.0000
Ir2 0.4901 0.1642 0.5000
Ir3 0.5099 0.8358 0.0000
Ir4 0.9901 0.8358 0.5000
O1 0.1493 0.0717 0.3499
O2 0.3507 0.0717 0.8499
O3 0.6493 0.9283 0.3499
O4 0.8507 0.9283 0.8499
F1 0.1454 0.3989 0.1113
F2 0.1558 0.7354 0.1574
F3 0.3442 0.7354 0.6574
F4 0.3546 0.3989 0.6113
F5 0.6454 0.6011 0.1113
F6 0.6558 0.2646 0.1574
F7 0.8442 0.2646 0.6574
F8 0.8546 0.6011 0.6113